Record 1
BaCaNdNbO6: computed XRD peak list (Cu Kα (weighted mean of Kα1 and Kα2)), based on a cell relaxed with PBE.
Lines closer than 0.1° are merged.

Cell and atoms:
Cell lengths 5.9567, 6.0404, 8.5086 Å; angles 89.39, 89.33, 89.94 degrees
Atoms (fractional coordinates):
Ba  0.0050  0.0348  0.2491
Ba  0.9950  0.9652  0.7509
Ca  0.4895  0.5416  0.2452
Ca  0.5105  0.4584  0.7548
Nd  0.0000  0.5000  0.0000
Nd  0.5000  0.0000  0.5000
Nb  0.0000  0.5000  0.5000
Nb  0.5000  0.0000  0.0000
O  0.1134  0.5028  0.7284
O  0.1885  0.7712  0.4580
O  0.2253  0.8113  0.0300
O  0.2727  0.3151  0.4352
O  0.3234  0.2814  0.0592
O  0.4309  0.0635  0.7704
O  0.5691  0.9365  0.2296
O  0.6766  0.7186  0.9408
O  0.7273  0.6849  0.5648
O  0.7747  0.1887  0.9700
O  0.8115  0.2288  0.5420
O  0.8866  0.4972  0.2716

Main lines, by intensity (5 to 70 degrees two-theta):
| 2θ/deg | d/Å | intensity |
| --- | --- | --- |
| 29.75 | 3.003 | 100.0 |
| 29.54 | 3.024 | 92.2 |
| 29.99 | 2.979 | 89.0 |
| 42.64 | 2.121 | 48.5 |
| 52.92 | 1.730 | 29.9 |
| 42.50 | 2.127 | 26.1 |
| 53.26 | 1.720 | 21.0 |
| 20.93 | 4.245 | 20.7 |
| 52.32 | 1.749 | 19.3 |
| 52.77 | 1.735 | 18.9 |



Record 2
ScCo2: computed XRD peak list (Cu Kα (weighted mean of Kα1 and Kα2)), based on a cell relaxed with PBE.
Lines closer than 0.1° are merged.

Cell and atoms:
Cell lengths 4.8795, 4.8795, 4.8795 Å; angles 60.00, 60.00, 60.00 degrees
Atoms (fractional coordinates):
Sc  0.1250  0.1250  0.1250
Sc  0.8750  0.8750  0.8750
Co  0.0000  0.5000  0.5000
Co  0.5000  0.0000  0.5000
Co  0.5000  0.5000  0.0000
Co  0.5000  0.5000  0.5000

Main lines, by intensity (5 to 70 degrees two-theta):
| 2θ/deg | d/Å | intensity |
| --- | --- | --- |
| 43.50 | 2.081 | 100.0 |
| 45.54 | 1.992 | 51.4 |
| 22.31 | 3.984 | 21.2 |
| 36.84 | 2.440 | 18.6 |
| 53.09 | 1.725 | 9.9 |
| 66.36 | 1.409 | 5.6 |
| 58.28 | 1.583 | 4.4 |



Record 3
TaHO3: computed XRD peak list (Cu Kα (weighted mean of Kα1 and Kα2)), based on a cell relaxed with PBE.
Lines closer than 0.1° are merged.

Cell and atoms:
Cell lengths 7.5010, 7.5010, 7.5010 Å; angles 117.74, 117.74, 93.95 degrees
Atoms (fractional coordinates):
Ta  0.0000  0.0000  0.0000
Ta  0.0000  0.0000  0.5000
Ta  0.0000  0.5000  0.0000
Ta  0.5000  0.0000  0.5000
H  0.1761  0.4261  0.7500
H  0.4261  0.1761  0.2500
H  0.5739  0.8239  0.7500
H  0.8239  0.5739  0.2500
O  0.0503  0.3003  0.1005
O  0.0503  0.9497  0.7500
O  0.0811  0.3311  0.7500
O  0.3003  0.0503  0.6005
O  0.3003  0.6997  0.2500
O  0.3311  0.0811  0.2500
O  0.6689  0.9189  0.7500
O  0.6997  0.3003  0.7500
O  0.6997  0.9497  0.3995
O  0.9189  0.6689  0.2500
O  0.9497  0.0503  0.2500
O  0.9497  0.6997  0.8995

Main lines, by intensity (5 to 70 degrees two-theta):
| 2θ/deg | d/Å | intensity |
| --- | --- | --- |
| 14.33 | 6.181 | 100.0 |
| 28.89 | 3.091 | 55.9 |
| 27.15 | 3.285 | 35.5 |
| 55.99 | 1.642 | 17.9 |
| 48.67 | 1.871 | 16.2 |
| 32.66 | 2.742 | 14.0 |
| 28.58 | 3.123 | 13.4 |
| 36.96 | 2.432 | 10.4 |
| 46.86 | 1.939 | 8.1 |
| 43.94 | 2.060 | 7.9 |



Record 4
SnPbF4: computed XRD peak list (Cu Kα (weighted mean of Kα1 and Kα2)), based on a cell relaxed with PBE.
Lines closer than 0.1° are merged.

Cell and atoms:
Cell lengths 4.3685, 4.3685, 11.0854 Å; angles 90.00, 90.00, 90.00 degrees
Atoms (fractional coordinates):
Sn  0.2500  0.2500  0.1428
Sn  0.7500  0.7500  0.8572
Pb  0.2500  0.2500  0.6189
Pb  0.7500  0.7500  0.3811
F  0.2500  0.2500  0.3342
F  0.2500  0.7500  0.2014
F  0.2500  0.7500  0.5000
F  0.2500  0.7500  0.7986
F  0.7500  0.2500  0.2014
F  0.7500  0.2500  0.5000
F  0.7500  0.2500  0.7986
F  0.7500  0.7500  0.6658

Main lines, by intensity (5 to 70 degrees two-theta):
| 2θ/deg | d/Å | intensity |
| --- | --- | --- |
| 25.97 | 3.431 | 100.0 |
| 49.47 | 1.843 | 36.8 |
| 43.89 | 2.063 | 34.1 |
| 28.90 | 3.089 | 33.7 |
| 7.98 | 11.085 | 31.0 |
| 41.34 | 2.184 | 26.2 |
| 53.41 | 1.715 | 13.3 |
| 53.88 | 1.702 | 13.1 |
| 32.30 | 2.771 | 13.0 |
| 59.89 | 1.544 | 8.5 |



Record 5
Ba2UP2O10: computed XRD peak list (Cu Kα (weighted mean of Kα1 and Kα2)), based on a cell relaxed with PBE.
Lines closer than 0.1° are merged.

Cell and atoms:
Cell lengths 7.0017, 7.0017, 7.1441 Å; angles 101.47, 101.47, 46.55 degrees
Atoms (fractional coordinates):
Ba  0.1611  0.1611  0.2029
Ba  0.8389  0.8389  0.7971
U  0.5000  0.5000  0.5000
P  0.1437  0.1437  0.7226
P  0.8563  0.8563  0.2774
O  0.0501  0.0501  0.8224
O  0.0879  0.6380  0.4165
O  0.2516  0.2516  0.8654
O  0.3620  0.9121  0.5835
O  0.4678  0.4678  0.7361
O  0.5322  0.5322  0.2639
O  0.6380  0.0879  0.4165
O  0.7484  0.7484  0.1346
O  0.9121  0.3620  0.5835
O  0.9499  0.9499  0.1776

Main lines, by intensity (5 to 70 degrees two-theta):
| 2θ/deg | d/Å | intensity |
| --- | --- | --- |
| 26.70 | 3.338 | 100.0 |
| 20.76 | 4.279 | 85.1 |
| 32.39 | 2.764 | 75.6 |
| 20.99 | 4.233 | 41.4 |
| 26.41 | 3.375 | 37.5 |
| 42.77 | 2.114 | 33.9 |
| 12.69 | 6.975 | 29.9 |
| 38.89 | 2.316 | 26.3 |
| 44.03 | 2.057 | 21.5 |
| 43.67 | 2.073 | 20.7 |



Record 6
Zr3Si: computed XRD peak list (Cu Kα (weighted mean of Kα1 and Kα2)), based on a cell relaxed with PBE.
Lines closer than 0.1° are merged.

Cell and atoms:
Cell lengths 11.0432, 11.0432, 5.4512 Å; angles 90.00, 90.00, 90.00 degrees
Atoms (fractional coordinates):
Zr  0.0344  0.5711  0.2400
Zr  0.0711  0.9656  0.7400
Zr  0.1118  0.2224  0.0285
Zr  0.1420  0.6674  0.7149
Zr  0.1674  0.8580  0.2149
Zr  0.2224  0.3882  0.4715
Zr  0.2776  0.1118  0.4715
Zr  0.3326  0.6420  0.2149
Zr  0.3580  0.8326  0.7149
Zr  0.3882  0.2776  0.0285
Zr  0.4289  0.5344  0.7400
Zr  0.4656  0.9289  0.2400
Zr  0.5344  0.0711  0.7600
Zr  0.5711  0.4656  0.2600
Zr  0.6118  0.7224  0.9715
Zr  0.6420  0.1674  0.2851
Zr  0.6674  0.3580  0.7851
Zr  0.7224  0.8882  0.5285
Zr  0.7776  0.6118  0.5285
Zr  0.8326  0.1420  0.7851
Zr  0.8580  0.3326  0.2851
Zr  0.8882  0.7776  0.9715
Zr  0.9289  0.0344  0.2600
Zr  0.9656  0.4289  0.7600
Si  0.0448  0.2077  0.5379
Si  0.2077  0.4552  0.9621
Si  0.2923  0.0448  0.9621
Si  0.4552  0.2923  0.5379
Si  0.5448  0.7077  0.4621
Si  0.7077  0.9552  0.0379
Si  0.7923  0.5448  0.0379
Si  0.9552  0.7923  0.4621

Main lines, by intensity (5 to 70 degrees two-theta):
| 2θ/deg | d/Å | intensity |
| --- | --- | --- |
| 33.56 | 2.670 | 100.0 |
| 37.41 | 2.404 | 77.0 |
| 34.86 | 2.573 | 56.5 |
| 36.41 | 2.468 | 56.4 |
| 30.40 | 2.941 | 38.8 |
| 34.46 | 2.603 | 34.3 |
| 59.14 | 1.562 | 28.3 |
| 42.05 | 2.149 | 24.9 |
| 40.36 | 2.235 | 19.9 |
| 41.70 | 2.166 | 19.3 |



Record 7
Na2AgIrF6: computed XRD peak list (Cu Kα (weighted mean of Kα1 and Kα2)), based on a cell relaxed with PBE.
Lines closer than 0.1° are merged.

Cell and atoms:
Cell lengths 6.1744, 6.1744, 6.1744 Å; angles 60.00, 60.00, 60.00 degrees
Atoms (fractional coordinates):
Na  0.2500  0.2500  0.2500
Na  0.7500  0.7500  0.7500
Ag  0.0000  0.0000  0.0000
Ir  0.5000  0.5000  0.5000
F  0.2673  0.2673  0.7327
F  0.2673  0.7327  0.2673
F  0.2673  0.7327  0.7327
F  0.7327  0.2673  0.2673
F  0.7327  0.2673  0.7327
F  0.7327  0.7327  0.2673

Main lines, by intensity (5 to 70 degrees two-theta):
| 2θ/deg | d/Å | intensity |
| --- | --- | --- |
| 20.34 | 4.366 | 100.0 |
| 28.92 | 3.087 | 94.6 |
| 46.51 | 1.953 | 43.6 |
| 41.36 | 2.183 | 39.3 |
| 51.25 | 1.782 | 38.4 |
| 59.92 | 1.544 | 23.8 |
| 63.97 | 1.455 | 20.4 |
| 67.89 | 1.381 | 17.5 |
| 17.59 | 5.041 | 16.5 |
| 35.62 | 2.521 | 7.0 |



Record 8
ZrCrAgS4: computed XRD peak list (Cu Kα (weighted mean of Kα1 and Kα2)), based on a cell relaxed with PBE.
Lines closer than 0.1° are merged.

Cell and atoms:
Cell lengths 6.1929, 3.6043, 12.7474 Å; angles 90.00, 90.99, 90.00 degrees
Atoms (fractional coordinates):
Zr  0.2471  0.2500  0.0046
Zr  0.7529  0.7500  0.9954
Cr  0.2649  0.2500  0.4915
Cr  0.7351  0.7500  0.5085
Ag  0.2459  0.2500  0.7334
Ag  0.7541  0.7500  0.2666
S  0.0866  0.7500  0.1227
S  0.0910  0.7500  0.5941
S  0.4091  0.7500  0.8811
S  0.4154  0.7500  0.3947
S  0.5846  0.2500  0.6053
S  0.5909  0.2500  0.1189
S  0.9090  0.2500  0.4059
S  0.9134  0.2500  0.8773

Main lines, by intensity (5 to 70 degrees two-theta):
| 2θ/deg | d/Å | intensity |
| --- | --- | --- |
| 40.30 | 2.238 | 100.0 |
| 28.66 | 3.115 | 59.5 |
| 50.99 | 1.791 | 46.5 |
| 40.68 | 2.218 | 46.5 |
| 25.67 | 3.471 | 42.4 |
| 16.02 | 5.532 | 42.2 |
| 41.00 | 2.202 | 35.5 |
| 15.80 | 5.608 | 34.9 |
| 28.84 | 3.096 | 32.5 |
| 50.65 | 1.802 | 24.2 |